# 1
Starting from DFT lattice parameters and positions (GGA-PBE), the powder diffraction line list of La2Ce2N5 was computed for λ = 1.5418 Å (Cu Kα).

Main lines, most intense first (15 to 90 degrees two-theta):
h k l, Position (°2θ), d [Å], Rel. int.
2 2 0, 30.28, 2.952, 100
3 1 1, 28.70, 3.110, 69
5 3 1, 57.19, 1.611, 50
1 3 1, 43.18, 2.095, 43
2 2 1, 33.16, 2.702, 31
3 1 2, 37.03, 2.428, 31
0 2 2, 37.85, 2.377, 30
4 0 0, 28.95, 3.085, 29
1 1 2, 30.59, 2.922, 28
4 2 1, 41.97, 2.153, 22
2 0 4, 56.77, 1.622, 22
3 3 3, 62.85, 1.479, 22

Atomic structure:
Unit cell a=12.3388 b=6.7175 c=6.7281 alpha=90.00 beta=90.00 gamma=90.00
Space group Cmce (No. 64)
Symmetry-distinct sites (fractional):
La  0.2036  0.0000  0.0000 x8
Ce  0.0000  0.1621  0.3388 x8
N  0.0000  0.0000  0.0000 x4
N  0.1273  0.1648  0.6561 x16

# 2
Starting from DFT lattice parameters and positions (GGA-PBE), the powder diffraction line list of BaLaSCl2 was computed for λ = 1.5418 Å (Cu Kα).

Main lines, most intense first (15 to 90 degrees two-theta):
h k l, Position (°2θ), d [Å], Rel. int.
1 0 1, 22.66, 3.924, 100
2 0 0, 32.32, 2.770, 35
2 1 1, 39.83, 2.263, 32
2 0 2, 46.24, 1.963, 25
0 0 2, 32.16, 2.783, 18
3 2 1, 62.70, 1.482, 17
1 1 2, 39.73, 2.269, 15
3 0 1, 52.21, 1.752, 14
2 2 2, 57.54, 1.602, 13
2 2 0, 46.36, 1.958, 12
4 2 0, 76.94, 1.239, 11
2 1 3, 62.54, 1.485, 9

Atomic structure:
Unit cell a=5.5395 b=5.5395 c=5.5668 alpha=90.00 beta=90.00 gamma=90.00
Space group P4/mmm (No. 123)
Symmetry-distinct sites (fractional):
Ba  0.0000  0.0000  0.0000 x1
La  0.5000  0.5000  0.5000 x1
S  0.5000  0.5000  0.0000 x1
Cl  0.0000  0.5000  0.5000 x2